No. 1
Simulated XRD peak list of DyEr2Co for a wavelength of 1.5418 Å, from a crystal structure in Alexandria, relaxed with GGA-PBE.
Intensities are scaled so that the largest is 100.

Structure:
Cell: 6.906 9.310 6.205 Å, 90.00 90.00 90.00°
Space group Pnma (No. 62)
Inequivalent atoms, fractional coordinates:
Dy 0.042 0.250 0.140 x4
Er 0.174 0.068 0.677 x8
Co 0.113 0.750 0.452 x4

Most intense lines, 5° ≤ 2θ ≤ 70°, sorted by position:
| d_spacing | I (rel.) | h k l |
| --- | --- | --- |
| 2.870 | 29 | 2 1 1 |
| 2.830 | 30 | 1 0 2 |
| 2.775 | 100 | 0 3 1 |
| 2.708 | 43 | 1 1 2 |
| 2.577 | 35 | 1 3 1 |
| 2.532 | 40 | 2 2 1 |
| 2.308 | 18 | 2 3 0 |
| 1.823 | 18 | 1 2 3 |
| 1.670 | 16 | 1 3 3 |
| 1.663 | 15 | 4 0 1 |
| 1.588 | 20 | 3 3 2 |
| 1.509 | 17 | 4 3 0 |

=====

No. 2
Simulated XRD peak list of Dy2Ga8Co for a wavelength of 1.5418 Å, from a crystal structure in Alexandria, relaxed with GGA-PBE.
Intensities are scaled so that the largest is 100.

Structure:
Cell: 4.236 4.236 11.117 Å, 90.00 90.00 90.00°
Space group P4/mmm (No. 123)
Inequivalent atoms, fractional coordinates:
Dy 0.000 0.000 0.195 x2
Ga 0.000 0.500 0.000 x2
Ga 0.000 0.500 0.384 x4
Ga 0.500 0.500 0.194 x2
Co 0.000 0.000 0.500 x1

Most intense lines, 5° ≤ 2θ ≤ 70°, sorted by position:
| d_spacing | I (rel.) | h k l |
| --- | --- | --- |
| 4.236 | 21 | 1 0 0 |
| 2.892 | 9 | 1 1 1 |
| 2.789 | 12 | 1 0 3 |
| 2.637 | 52 | 1 1 2 |
| 2.329 | 100 | 1 1 3 |
| 2.223 | 23 | 0 0 5 |
| 2.118 | 57 | 2 0 0 |
| 2.037 | 9 | 1 1 4 |
| 1.687 | 5 | 2 1 3 |
| 1.534 | 28 | 2 0 5 |
| 1.498 | 18 | 2 2 0 |
| 1.403 | 5 | 1 1 7 |